Diffraction record for TeO3. The X-ray diffraction stick pattern is calculated, not measured: it uses a GGA-PBE-relaxed structure and Cu Kα, 1.54184 Å.
Neutral-atom scattering factors, no anomalous dispersion.

Largest 10 diffraction maxima, low angle first, 2θ from 10° to 80°:
| 2theta | d [Å] | I/Imax | hkl |
| --- | --- | --- | --- |
| 14.62 | 6.059 | 65 | 2 0 0 |
| 21.34 | 4.164 | 75 | 0 1 1 |
| 22.58 | 3.937 | 100 | 1 1 1 |
| 23.61 | 3.768 | 46 | 2 0 1 |
| 24.50 | 3.633 | 29 | 3 1 0 |
| 25.96 | 3.432 | 28 | 2 1 1 |
| 29.33 | 3.045 | 36 | 1 2 1 |
| 30.84 | 2.899 | 94 | 3 1 1 |
| 32.05 | 2.792 | 42 | 2 2 1 |
| 33.15 | 2.702 | 30 | 1 3 0 |

Unit cell a=12.1175 b=8.3163 c=4.8127 alpha=90.00 beta=90.00 gamma=90.00
Space group Pna2_1 (No. 33)
Inequivalent atoms, fractional coordinates:
Te  0.0629  0.1414  0.0000 (multiplicity 4)
Te  0.1094  0.5329  0.6549 (multiplicity 4)
O  0.0184  0.4077  0.3925 (multiplicity 4)
O  0.0405  0.0512  0.6429 (multiplicity 4)
O  0.0752  0.7366  0.4668 (multiplicity 4)
O  0.1443  0.3351  0.8460 (multiplicity 4)
O  0.2186  0.6434  0.8752 (multiplicity 4)
O  0.2420  0.5203  0.4368 (multiplicity 4)